1.
Structure and theoretical powder XRD pattern of LuCdHg2 (the PBE geometry in the Materials Project; λ = 1.5418 Å (Cu Kα)).
Intensities are scaled so that the largest is 100.

Most intense lines, 2θ from 5° to 70°, most intense first:
2θ (°), d (Å), I (rel.), hkl
35.49, 2.530, 100, 2 2 0
63.72, 1.460, 37, 4 2 2
51.06, 1.789, 18, 4 0 0
24.89, 3.577, 3, 2 0 0
21.51, 4.131, 2, 1 1 1
57.62, 1.600, 2, 4 2 0
43.83, 2.065, 1, 2 2 2
41.88, 2.157, 1, 3 1 1

Crystal structure
Unit cell a=7.155 b=7.155 c=7.155 alpha=90.00 beta=90.00 gamma=90.00
Positions (direct):
Lu 0.000 0.000 0.000
Lu 0.000 0.500 0.500
Lu 0.500 0.000 0.500
Lu 0.500 0.500 0.000
Cd 0.000 0.000 0.500
Cd 0.000 0.500 0.000
Cd 0.500 0.000 0.000
Cd 0.500 0.500 0.500
Hg 0.250 0.250 0.250
Hg 0.250 0.250 0.750
Hg 0.250 0.750 0.250
Hg 0.250 0.750 0.750
Hg 0.750 0.250 0.250
Hg 0.750 0.250 0.750
Hg 0.750 0.750 0.250
Hg 0.750 0.750 0.750


2.
Structure and theoretical powder XRD pattern of Ni3Cl4 (the PBE geometry in the Materials Project; λ = 1.5418 Å (Cu Kα)).
Intensities are scaled so that the largest is 100.

Most intense lines, 2θ from 5° to 70°, most intense first:
2θ (°), d (Å), I (rel.), hkl
36.01, 2.494, 100, 2 0 1
52.45, 1.745, 61, 2 4 1
36.82, 2.441, 47, 0 4 0
15.51, 5.714, 38, 1 1 0
51.78, 1.766, 16, 0 0 2
51.90, 1.762, 16, 4 0 0
65.21, 1.431, 15, 0 4 2
65.32, 1.429, 15, 4 4 0
18.17, 4.882, 11, 0 2 0
29.74, 3.004, 10, 1 1 1

Crystal structure
Unit cell a=7.047 b=9.765 c=3.531 alpha=90.00 beta=90.00 gamma=90.00
Positions (direct):
Ni 0.000 0.000 0.000
Ni 0.250 0.250 0.500
Ni 0.250 0.750 0.500
Ni 0.500 0.500 0.000
Ni 0.750 0.250 0.500
Ni 0.750 0.750 0.500
Cl 0.000 0.251 0.000
Cl 0.000 0.749 0.000
Cl 0.234 0.000 0.500
Cl 0.266 0.500 0.500
Cl 0.500 0.249 0.000
Cl 0.500 0.751 0.000
Cl 0.734 0.500 0.500
Cl 0.766 0.000 0.500


3.
Structure and theoretical powder XRD pattern of Ta2Pt3Se8 (the PBE geometry in the Materials Project; λ = 1.5418 Å (Cu Kα)).
Intensities are scaled so that the largest is 100.

Most intense lines, 2θ from 5° to 70°, most intense first:
2θ (°), d (Å), I (rel.), hkl
13.93, 6.359, 100, 1 2 0
33.97, 2.639, 67, 0 4 1
9.75, 9.072, 65, 1 1 0
43.92, 2.062, 39, 1 6 1
41.16, 2.193, 39, 4 1 1
29.96, 2.982, 30, 2 1 1
42.45, 2.129, 27, 4 2 1
50.45, 1.809, 23, 0 0 2
35.01, 2.563, 22, 3 1 1
26.52, 3.361, 21, 1 1 1

Crystal structure
Unit cell a=11.209 b=15.444 c=3.618 alpha=90.00 beta=90.00 gamma=90.00
Positions (direct):
Ta 0.195 0.126 0.000
Ta 0.305 0.626 0.000
Ta 0.695 0.374 0.000
Ta 0.805 0.874 0.000
Pt 0.000 0.000 0.500
Pt 0.151 0.724 0.500
Pt 0.349 0.224 0.500
Pt 0.500 0.500 0.500
Pt 0.651 0.776 0.500
Pt 0.849 0.276 0.500
Se 0.026 0.159 0.500
Se 0.074 0.628 0.000
Se 0.220 0.003 0.500
Se 0.227 0.292 0.000
Se 0.273 0.792 0.000
Se 0.280 0.503 0.500
Se 0.426 0.128 0.000
Se 0.474 0.659 0.500
Se 0.526 0.341 0.500
Se 0.574 0.872 0.000
Se 0.720 0.497 0.500
Se 0.727 0.208 0.000
Se 0.773 0.708 0.000
Se 0.780 0.997 0.500
Se 0.926 0.372 0.000
Se 0.974 0.841 0.500


4.
Structure and theoretical powder XRD pattern of Er2TiO5 (the PBE geometry in the Materials Project; λ = 1.5418 Å (Cu Kα)).
Intensities are scaled so that the largest is 100.

Most intense lines, 2θ from 5° to 70°, most intense first:
2θ (°), d (Å), I (rel.), hkl
30.25, 2.954, 100, 0 1 3
29.61, 3.017, 96, 2 0 3
49.95, 1.826, 50, 2 1 6
34.61, 2.592, 45, 2 1 0
59.71, 1.549, 38, 2 2 3
13.20, 6.709, 24, 1 0 1
34.87, 2.573, 23, 0 0 6
16.54, 5.361, 20, 1 0 2
58.59, 1.575, 18, 4 1 3
50.60, 1.804, 18, 0 2 0

Crystal structure
Unit cell a=7.450 b=3.608 c=15.438 alpha=90.00 beta=90.00 gamma=90.00
Positions (direct):
Er 0.101 0.250 0.084
Er 0.162 0.250 0.737
Er 0.338 0.750 0.237
Er 0.399 0.750 0.584
Er 0.601 0.250 0.416
Er 0.662 0.250 0.763
Er 0.838 0.750 0.263
Er 0.899 0.750 0.916
Ti 0.114 0.250 0.423
Ti 0.386 0.750 0.923
Ti 0.614 0.250 0.077
Ti 0.886 0.750 0.577
O 0.069 0.750 0.174
O 0.074 0.750 0.453
O 0.122 0.750 0.648
O 0.157 0.750 0.995
O 0.246 0.250 0.322
O 0.254 0.750 0.822
O 0.343 0.250 0.495
O 0.378 0.250 0.148
O 0.426 0.250 0.953
O 0.431 0.250 0.674
O 0.569 0.750 0.326
O 0.574 0.750 0.047
O 0.622 0.750 0.852
O 0.657 0.750 0.505
O 0.746 0.250 0.178
O 0.754 0.750 0.678
O 0.843 0.250 0.005
O 0.878 0.250 0.352
O 0.926 0.250 0.547
O 0.931 0.250 0.826


5.
Structure and theoretical powder XRD pattern of Sr3Pa (the PBE geometry in the Materials Project; λ = 1.5418 Å (Cu Kα)).
Intensities are scaled so that the largest is 100.

Most intense lines, 2θ from 5° to 70°, most intense first:
2θ (°), d (Å), I (rel.), hkl
27.38, 3.257, 100, 1 1 1
31.72, 2.821, 51, 2 0 0
53.90, 1.701, 46, 3 1 1
45.47, 1.995, 38, 2 2 0
15.71, 5.642, 20, 1 0 0
22.29, 3.989, 19, 1 1 0
56.51, 1.629, 13, 2 2 2
35.58, 2.523, 12, 2 1 0
39.11, 2.303, 9, 2 1 1
48.40, 1.881, 7, 3 0 0

Crystal structure
Unit cell a=5.642 b=5.642 c=5.642 alpha=90.00 beta=90.00 gamma=90.00
Positions (direct):
Sr 0.000 0.000 0.500
Sr 0.000 0.500 0.000
Sr 0.500 0.000 0.000
Pa 0.500 0.500 0.500